Diffraction record for K3Sr. The powder XRD pattern is computed, not measured: it uses a structure optimized by DFT (GGA-PBE) and Cu Kα, 1.54184 Å.
No peak broadening, texture or thermal motion is included.

Most intense lines, 10 to 90 degrees two-theta, sorted by position:
2theta, d/Å, I/Imax
23.25, 3.826, 42
24.27, 3.667, 100
27.80, 3.209, 70
39.07, 2.306, 26
40.37, 2.234, 24
45.95, 1.975, 16
47.10, 1.930, 30
47.66, 1.908, 14
49.72, 1.834, 12
64.19, 1.451, 11

Structural model:
a b c (Å): 15.5253 15.5253 15.5253
angles (deg): 16.55 16.55 16.55
Atoms (fractional coordinates):
K  0.0000  0.0000  0.0000
K  0.2478  0.2478  0.2478
K  0.7522  0.7522  0.7522
Sr  0.5000  0.5000  0.5000

***

Diffraction record for PmNdSmIn. The powder XRD pattern is computed, not measured: it uses a structure optimized by DFT (GGA-PBE) and Cu Kα, 1.54184 Å.
No peak broadening, texture or thermal motion is included.

Most intense lines, 10 to 90 degrees two-theta, sorted by position:
2theta, d/Å, I/Imax
31.28, 2.860, 100
35.21, 2.549, 18
36.79, 2.443, 32
51.84, 1.764, 24
53.01, 1.728, 11
60.75, 1.525, 15
62.85, 1.479, 27
65.25, 1.430, 12
84.81, 1.143, 12
86.05, 1.130, 6

Structural model:
a b c (Å): 6.1579 6.1579 6.1579
angles (deg): 133.25 133.25 68.26
Atoms (fractional coordinates):
Pm  0.0000  0.0000  0.0000
Nd  0.2500  0.7500  0.5000
Sm  0.5000  0.5000  0.0000
In  0.7500  0.2500  0.5000

***

Diffraction record for SmSc2Sb4. The powder XRD pattern is computed, not measured: it uses a structure optimized by DFT (GGA-PBE) and Cu Kα, 1.54184 Å.
No peak broadening, texture or thermal motion is included.

Most intense lines, 10 to 90 degrees two-theta, sorted by position:
2theta, d/Å, I/Imax
27.46, 3.248, 34
28.04, 3.182, 46
31.76, 2.817, 55
32.17, 2.783, 100
32.66, 2.742, 14
36.03, 2.493, 31
36.56, 2.458, 17
42.67, 2.119, 34
56.56, 1.627, 18
63.90, 1.457, 16

Structural model:
a b c (Å): 5.9272 5.9272 16.0459
angles (deg): 90.00 90.00 138.10
Atoms (fractional coordinates):
Sm  0.0645  0.9355  0.7500
Sm  0.9355  0.0645  0.2500
Sc  0.3466  0.6534  0.5753
Sc  0.3466  0.6534  0.9247
Sc  0.6534  0.3466  0.0753
Sc  0.6534  0.3466  0.4247
Sb  0.0000  0.0000  0.0000
Sb  0.0000  0.0000  0.5000
Sb  0.3403  0.6597  0.1132
Sb  0.3403  0.6597  0.3868
Sb  0.3528  0.6472  0.7500
Sb  0.6472  0.3528  0.2500
Sb  0.6597  0.3403  0.6132
Sb  0.6597  0.3403  0.8868

***

Diffraction record for SrLiMg14. The powder XRD pattern is computed, not measured: it uses a structure optimized by DFT (GGA-PBE) and Cu Kα, 1.54184 Å.
No peak broadening, texture or thermal motion is included.

Most intense lines, 10 to 90 degrees two-theta, sorted by position:
2theta, d/Å, I/Imax
17.74, 5.001, 24
29.83, 2.995, 10
31.53, 2.837, 25
33.90, 2.645, 25
35.92, 2.500, 100
46.97, 1.935, 15
56.15, 1.638, 18
61.97, 1.498, 18
67.23, 1.393, 19
68.48, 1.370, 14

Structural model:
a b c (Å): 6.5524 6.5524 10.5785
angles (deg): 90.00 90.00 120.00
Atoms (fractional coordinates):
Sr  0.0000  0.0000  0.0000
Li  0.0000  0.0000  0.5000
Mg  0.0121  0.5060  0.0000
Mg  0.1689  0.3379  0.2623
Mg  0.1689  0.3379  0.7377
Mg  0.1689  0.8311  0.2623
Mg  0.1689  0.8311  0.7377
Mg  0.4940  0.5060  0.0000
Mg  0.4940  0.9879  0.0000
Mg  0.5022  0.0043  0.5000
Mg  0.5022  0.4978  0.5000
Mg  0.6621  0.8311  0.2623
Mg  0.6621  0.8311  0.7377
Mg  0.6667  0.3333  0.2404
Mg  0.6667  0.3333  0.7596
Mg  0.9957  0.4978  0.5000